# 1
Computed X-ray powder pattern
Compound: TiMnAs
Radiation: λ = 1.5418 Å (Cu Kα)
Structure: a crystal structure in the Materials Project, relaxed with PBE
No peak broadening, texture or thermal motion is included.

Crystal structure
Cell lengths 6.7853, 6.7853, 3.5649 Å; angles 90.00, 90.00, 120.00 degrees
Space group P-62m (No. 189)
Asymmetric unit:
Ti 0.0000 0.2617 0.0000 x3
Mn 0.0000 0.6093 0.5000 x3
As 0.0000 0.0000 0.5000 x1
As 0.3333 0.6667 0.0000 x2

The 10 most intense peaks (2θ from 15° to 90°), by angle:
| 2theta | Rel. int. | (hkl) |
| --- | --- | --- |
| 26.27 | 21 | 1 1 0 |
| 29.30 | 20 | 1 0 1 |
| 36.56 | 100 | 1 1 1 |
| 39.76 | 99 | 2 0 1 |
| 40.62 | 31 | 2 1 0 |
| 46.35 | 67 | 3 0 0 |
| 48.28 | 52 | 2 1 1 |
| 51.25 | 29 | 0 0 2 |
| 71.57 | 35 | 3 0 2 |
| 75.38 | 34 | 3 2 1 |

***

# 2
Computed X-ray powder pattern
Compound: TiMnAs
Radiation: λ = 1.5418 Å (Cu Kα)
Structure: a crystal structure in the Materials Project, relaxed with PBE
No peak broadening, texture or thermal motion is included.

Crystal structure
Cell lengths 6.3998, 6.3998, 3.5212 Å; angles 90.00, 90.00, 120.00 degrees
Space group P-62m (No. 189)
Asymmetric unit:
Ti 0.0000 0.5887 0.0000 x3
Mn 0.0000 0.2481 0.5000 x3
As 0.0000 0.0000 0.0000 x1
As 0.3333 0.6667 0.5000 x2

The 10 most intense peaks (2θ from 15° to 90°), by angle:
| 2theta | Rel. int. | (hkl) |
| --- | --- | --- |
| 27.88 | 23 | 1 1 0 |
| 38.00 | 69 | 1 1 1 |
| 41.47 | 100 | 2 0 1 |
| 43.19 | 36 | 2 1 0 |
| 49.33 | 38 | 3 0 0 |
| 50.71 | 51 | 2 1 1 |
| 51.94 | 27 | 0 0 2 |
| 69.78 | 15 | 2 1 2 |
| 74.44 | 22 | 3 0 2 |
| 80.27 | 27 | 3 2 1 |

***

# 3
Computed X-ray powder pattern
Compound: TiMn2VAs4
Radiation: λ = 1.5418 Å (Cu Kα)
Structure: a crystal structure in the Materials Project, relaxed with PBE
No peak broadening, texture or thermal motion is included.

Crystal structure
Cell lengths 5.809, 3.607, 6.400 Å; angles 90.00, 90.22, 90.00 degrees
Space group P2/m (No. 10)
Asymmetric unit:
Ti 0.000 0.000 0.000 x1
Mn 0.000 0.500 0.500 x1
Mn 0.500 0.000 0.000 x1
V 0.500 0.500 0.500 x1
As 0.252 0.000 0.667 x2
As 0.259 0.500 0.173 x2

The 10 most intense peaks (2θ from 15° to 90°), by angle:
| 2theta | Rel. int. | (hkl) |
| --- | --- | --- |
| 31.88 | 25 | 1 0 -2 |
| 31.98 | 23 | 1 0 2 |
| 32.39 | 100 | 1 1 1 |
| 41.93 | 21 | 2 0 -2 |
| 42.09 | 25 | 2 0 2 |
| 42.37 | 81 | 2 1 -1 |
| 49.65 | 53 | 0 1 3 |
| 50.61 | 25 | 0 2 0 |
| 61.10 | 15 | 1 2 -2 |
| 64.12 | 12 | 4 0 0 |

***

# 4
Computed X-ray powder pattern
Compound: MoAs
Radiation: λ = 1.5418 Å (Cu Kα)
Structure: a crystal structure in the Materials Project, relaxed with PBE
No peak broadening, texture or thermal motion is included.

Crystal structure
Cell lengths 6.047, 3.386, 6.450 Å; angles 90.00, 90.00, 90.00 degrees
Space group Pnma (No. 62)
Asymmetric unit:
Mo 0.014 0.250 0.184 x4
As 0.188 0.250 0.568 x4

The 10 most intense peaks (2θ from 15° to 90°), by angle:
| 2theta | Rel. int. | (hkl) |
| --- | --- | --- |
| 29.80 | 36 | 0 1 1 |
| 31.44 | 34 | 1 0 2 |
| 33.36 | 61 | 1 1 1 |
| 40.92 | 46 | 2 0 2 |
| 41.45 | 77 | 1 1 2 |
| 42.46 | 100 | 2 1 1 |
| 44.74 | 35 | 1 0 3 |
| 47.24 | 31 | 3 0 1 |
| 54.17 | 30 | 0 2 0 |
| 81.57 | 32 | 3 1 4 |

***

# 5
Computed X-ray powder pattern
Compound: Ni5Mo12As18
Radiation: λ = 1.5418 Å (Cu Kα)
Structure: a crystal structure in the Materials Project, relaxed with PBE
No peak broadening, texture or thermal motion is included.

Crystal structure
Cell lengths 13.148, 3.351, 26.356 Å; angles 90.00, 103.74, 90.00 degrees
Space group C2/m (No. 12)
Asymmetric unit:
Ni 0.000 0.000 0.000 x2
Ni 0.167 0.500 0.167 x4
Ni 0.168 0.500 0.667 x4
Mo 0.047 0.500 0.874 x4
Mo 0.052 0.500 0.379 x4
Mo 0.113 0.000 0.292 x4
Mo 0.119 0.000 0.792 x4
Mo 0.218 0.000 0.539 x4
Mo 0.220 0.000 0.043 x4
As 0.037 0.500 0.718 x4
As 0.062 0.000 0.191 x4
As 0.086 0.500 0.066 x4
As 0.087 0.000 0.601 x4
As 0.096 0.500 0.483 x4
As 0.128 0.000 0.947 x4
As 0.205 0.000 0.387 x4
As 0.228 0.500 0.857 x4
As 0.248 0.500 0.268 x4

The 10 most intense peaks (2θ from 15° to 90°), by angle:
| 2theta | Rel. int. | (hkl) |
| --- | --- | --- |
| 30.15 | 37 | 1 1 -4 |
| 32.55 | 29 | 4 0 -7 |
| 33.61 | 60 | 1 1 5 |
| 34.12 | 62 | 3 1 -3 |
| 40.98 | 32 | 2 0 10 |
| 42.73 | 48 | 6 0 -6 |
| 42.93 | 64 | 3 1 6 |
| 43.77 | 100 | 5 1 -2 |
| 50.98 | 65 | 3 1 -12 |
| 54.80 | 41 | 0 2 0 |

***

# 6
Computed X-ray powder pattern
Compound: Mo2AsP3
Radiation: λ = 1.5418 Å (Cu Kα)
Structure: a crystal structure in the Materials Project, relaxed with PBE
No peak broadening, texture or thermal motion is included.

Crystal structure
Cell lengths 11.430, 3.181, 5.097 Å; angles 90.00, 90.83, 90.00 degrees
Space group Cm (No. 8)
Asymmetric unit:
Mo 0.000 0.000 0.000 x2
Mo 0.182 0.000 0.510 x2
As 0.386 0.000 0.307 x2
P 0.025 0.500 0.634 x2
P 0.159 0.500 0.126 x2
P 0.290 0.500 0.811 x2

The 10 most intense peaks (2θ from 15° to 90°), by angle:
| 2theta | Rel. int. | (hkl) |
| --- | --- | --- |
| 23.56 | 84 | 2 0 1 |
| 34.08 | 61 | 1 1 -1 |
| 34.20 | 80 | 1 1 1 |
| 35.81 | 42 | 4 0 -1 |
| 36.27 | 32 | 4 0 1 |
| 40.83 | 100 | 3 1 -1 |
| 41.14 | 53 | 3 1 1 |
| 46.43 | 46 | 1 1 2 |
| 49.08 | 54 | 5 1 0 |
| 57.98 | 31 | 0 2 0 |

***

# 7
Computed X-ray powder pattern
Compound: Ti3MoAs4
Radiation: λ = 1.5418 Å (Cu Kα)
Structure: a crystal structure in the Materials Project, relaxed with PBE
No peak broadening, texture or thermal motion is included.

Crystal structure
Cell lengths 3.5145, 3.5145, 12.9307 Å; angles 90.00, 90.00, 120.00 degrees
Space group P-3m1 (No. 164)
Asymmetric unit:
Ti 0.0000 0.0000 0.0000 x1
Ti 0.0000 0.0000 0.2471 x2
Mo 0.0000 0.0000 0.5000 x1
As 0.3333 0.6667 0.3739 x2
As 0.3333 0.6667 0.8764 x2

The 10 most intense peaks (2θ from 15° to 90°), by angle:
| 2theta | Rel. int. | (hkl) |
| --- | --- | --- |
| 29.34 | 6 | 1 0 0 |
| 32.51 | 90 | 1 0 2 |
| 40.72 | 100 | 1 0 4 |
| 52.03 | 70 | 1 1 0 |
| 56.97 | 12 | 0 0 8 |
| 62.72 | 13 | 0 2 2 |
| 68.10 | 20 | 0 2 4 |
| 76.65 | 7 | 2 0 6 |
| 80.78 | 31 | 1 1 8 |
| 85.79 | 11 | 2 1 2 |

***

# 8
Computed X-ray powder pattern
Compound: Th2AsNO
Radiation: λ = 1.5418 Å (Cu Kα)
Structure: a crystal structure in the Materials Project, relaxed with PBE
No peak broadening, texture or thermal motion is included.

Crystal structure
Cell lengths 4.0590, 4.0590, 7.0086 Å; angles 90.00, 90.00, 120.00 degrees
Space group P3m1 (No. 156)
Asymmetric unit:
Th 0.0000 0.0000 0.0000 x1
Th 0.3333 0.6667 0.5651 x1
As 0.6667 0.3333 0.2758 x1
N 0.0000 0.0000 0.6649 x1
O 0.3333 0.6667 0.9117 x1

The 10 most intense peaks (2θ from 15° to 90°), by angle:
| 2theta | Rel. int. | (hkl) |
| --- | --- | --- |
| 25.38 | 28 | 0 0 2 |
| 28.40 | 100 | 1 0 1 |
| 36.19 | 35 | 0 1 2 |
| 44.65 | 31 | 1 1 0 |
| 46.68 | 21 | 1 0 3 |
| 52.07 | 16 | 1 1 2 |
| 53.77 | 18 | 0 2 1 |
| 58.77 | 9 | 2 0 2 |
| 60.42 | 10 | 1 1 3 |
| 72.39 | 15 | 2 1 1 |